(1)
Simulated powder diffraction line list
Compound: Li2U3V2O15
Radiation: Cu Kα
Structure: a cell relaxed with PBE+U
Lines closer than 0.1° are merged.

Main lines, in order of falling intensity (15 to 90 degrees two-theta):
2theta  I_rel
23.89  1000
18.28  563
21.42  539
27.72  478
15.97  329
36.92  267
38.91  258
34.04  252
32.30  198
39.95  189

```
Li2U3V2O15
1.0
-3.7243 3.7243 12.4889
3.7243 -3.7243 12.4889
3.7243 3.7243 -12.4889
Li U V O
4 6 4 30
direct
0.0306 0.2806 0.7500
0.2806 0.0306 0.2500
0.7194 0.9694 0.7500
0.9694 0.7194 0.2500
0.1250 0.8750 0.2500
0.2900 0.5400 0.7500
0.4600 0.7100 0.7500
0.5400 0.2900 0.2500
0.7100 0.4600 0.2500
0.8750 0.1250 0.7500
0.1573 0.4073 0.7500
0.4073 0.1573 0.2500
0.5927 0.8427 0.7500
0.8427 0.5927 0.2500
0.0252 0.4527 0.5724
0.0514 0.8014 0.2500
0.1184 0.1746 0.5563
0.1184 0.5621 0.9437
0.1746 0.1184 0.0563
0.1986 0.9486 0.2500
0.2161 0.7118 0.5043
0.2882 0.2924 0.5043
0.2882 0.7839 0.9957
0.2924 0.2882 0.0043
0.3750 0.6250 0.7500
0.3803 0.4527 0.9276
0.4379 0.8816 0.5563
0.4527 0.0252 0.0724
0.4527 0.3803 0.4276
0.5473 0.6197 0.5724
0.5473 0.9748 0.9276
0.5621 0.1184 0.4437
0.6197 0.5473 0.0724
0.6250 0.3750 0.2500
0.7076 0.7118 0.9957
0.7118 0.2161 0.0043
0.7118 0.7076 0.4957
0.7839 0.2882 0.4957
0.8014 0.0514 0.7500
0.8254 0.8816 0.9437
0.8816 0.4379 0.0563
0.8816 0.8254 0.4437
0.9486 0.1986 0.7500
0.9748 0.5473 0.4276
```

---

(2)
Simulated powder diffraction line list
Compound: CoAgO2
Radiation: Cu Kα
Structure: a cell relaxed with PBE+U
Lines closer than 0.1° are merged.

Main lines, in order of falling intensity (15 to 90 degrees two-theta):
2theta  I_rel
34.79  1000
28.63  762
35.73  744
38.63  440
60.87  395
68.62  351
50.37  334
53.29  285
37.03  271
40.52  253

```
CoAgO2
1.0
3.0437 0.0000 0.0000
-1.5219 2.6360 0.0000
0.0000 0.0000 24.9407
Co Ag O
4 4 8
direct
0.3333 0.6667 0.1250
0.3333 0.6667 0.3750
0.6667 0.3333 0.6250
0.6667 0.3333 0.8750
0.0000 0.0000 0.0000
0.0000 0.0000 0.5000
0.3333 0.6667 0.7500
0.6667 0.3333 0.2500
0.0000 0.0000 0.0844
0.0000 0.0000 0.4156
0.0000 0.0000 0.5844
0.0000 0.0000 0.9156
0.3333 0.6667 0.6656
0.3333 0.6667 0.8344
0.6667 0.3333 0.1656
0.6667 0.3333 0.3344
```

---

(3)
Simulated powder diffraction line list
Compound: LiFe2OF5
Radiation: Cu Kα
Structure: a cell relaxed with PBE+U
Lines closer than 0.1° are merged.

Main lines, in order of falling intensity (15 to 90 degrees two-theta):
2theta  I_rel
30.37  1000
20.23  964
30.11  877
24.42  549
53.02  522
53.37  481
41.20  423
24.74  404
63.59  397
40.19  380

```
LiFe2OF5
1.0
4.6855 0.0000 0.0000
0.0000 5.1123 0.0000
-4.4655 0.0000 17.1298
Li Fe O F
4 8 4 20
direct
0.0000 0.0042 0.0000
0.0000 0.9958 0.5000
0.7717 0.4855 0.2695
0.7717 0.5145 0.7695
0.0855 0.4735 0.6021
0.0855 0.5265 0.1021
0.3540 0.0067 0.3222
0.3540 0.9933 0.8222
0.4387 0.4994 0.9346
0.4387 0.5006 0.4346
0.6675 0.0016 0.6652
0.6675 0.9984 0.1652
0.5355 0.1446 0.2519
0.5355 0.8554 0.7519
0.8610 0.1729 0.5949
0.8610 0.8271 0.0949
0.0026 0.1709 0.7584
0.0026 0.8291 0.2584
0.1368 0.3277 0.3480
0.1368 0.6723 0.8480
0.2109 0.1774 0.9208
0.2109 0.8226 0.4208
0.2492 0.3420 0.5093
0.2492 0.6580 0.0093
0.3302 0.1890 0.0892
0.3302 0.8110 0.5892
0.4481 0.3395 0.6758
0.4481 0.6605 0.1758
0.5833 0.3333 0.8487
0.5833 0.6667 0.3487
0.6488 0.1778 0.4206
0.6488 0.8222 0.9206
0.7798 0.3471 0.0093
0.7798 0.6529 0.5093
0.9245 0.3265 0.1767
0.9245 0.6735 0.6767
```

---

(4)
Simulated powder diffraction line list
Compound: MgV2Bi2Pb2O10
Radiation: Cu Kα
Structure: a cell relaxed with PBE+U
Lines closer than 0.1° are merged.

Main lines, in order of falling intensity (15 to 90 degrees two-theta):
2theta  I_rel
26.42  1000
24.15  791
26.87  641
30.00  593
25.53  540
25.43  535
30.78  494
20.33  389
29.68  366
41.33  347

```
MgV2Bi2Pb2O10
1.0
5.9988 0.0000 0.0000
-2.4761 6.7447 0.0000
-0.8396 -2.6326 6.9770
Mg V Bi Pb O
1 2 2 2 10
direct
0.0000 0.0000 0.0000
0.1278 0.2439 0.7654
0.8380 0.6016 0.5076
0.3981 0.8630 0.8688
0.5776 0.9622 0.3710
0.2594 0.3562 0.3850
0.8254 0.5356 0.0467
0.0500 0.5995 0.3573
0.2204 0.8635 0.1021
0.2887 0.4934 0.7246
0.3277 0.1784 0.9189
0.5879 0.6408 0.3717
0.6410 0.3215 0.4673
0.7062 0.9183 0.1088
0.8954 0.2156 0.9061
0.9335 0.7526 0.7595
0.9765 0.0669 0.5225
```

---

(5)
Simulated powder diffraction line list
Compound: Tb2MgCr2O8
Radiation: Cu Kα
Structure: a cell relaxed with PBE+U
Lines closer than 0.1° are merged.

Main lines, in order of falling intensity (15 to 90 degrees two-theta):
2theta  I_rel
23.95  1000
32.64  447
18.30  430
32.91  337
48.34  330
38.98  212
33.61  172
49.04  172
30.61  160
47.81  153

```
Tb2MgCr2O8
1.0
3.1997 -5.1774 0.0000
3.1997 5.1774 0.0000
-3.1847 0.0000 5.3332
Tb Mg Cr O
2 1 2 8
direct
0.0000 0.0000 0.0000
0.7782 0.2218 0.5000
0.2884 0.7116 0.0000
0.2771 0.7229 0.5000
0.5524 0.4476 0.0000
0.0905 0.3578 0.3259
0.1080 0.7331 0.6986
0.1832 0.3253 0.8422
0.2669 0.8920 0.3014
0.5184 0.2480 0.1646
0.6422 0.9095 0.6741
0.6747 0.8168 0.1578
0.7520 0.4816 0.8354
```

---

(6)
Simulated powder diffraction line list
Compound: MgTe3WO12
Radiation: Cu Kα
Structure: a cell relaxed with PBE+U
Lines closer than 0.1° are merged.

Main lines, in order of falling intensity (15 to 90 degrees two-theta):
2theta  I_rel
20.55  1000
19.47  443
31.76  376
32.01  355
34.67  242
51.26  157
39.63  148
50.92  145
40.04  142
33.74  140

```
MgTe3WO12
1.0
4.9468 0.0000 0.0000
0.0000 8.8857 0.0000
-0.0672 0.0000 5.3128
Mg Te W O
1 3 1 12
direct
0.0000 0.0000 0.0000
0.0000 0.6218 0.0000
0.0000 0.8023 0.5000
0.5000 0.3160 0.0000
0.5000 0.1206 0.5000
0.1983 0.7981 0.1766
0.2072 0.6445 0.6850
0.2360 0.9549 0.6461
0.2451 0.4778 0.1363
0.2852 0.1173 0.1916
0.2854 0.2643 0.6613
0.7148 0.1173 0.8084
0.7146 0.2643 0.3387
0.7549 0.4778 0.8637
0.7640 0.9549 0.3539
0.7928 0.6445 0.3150
0.8017 0.7981 0.8234
```

---

What did the sixth record say?
Simulated powder diffraction line list
Compound: MgTe3WO12
Radiation: Cu Kα
Structure: a cell relaxed with PBE+U
Lines closer than 0.1° are merged.

Main lines, in order of falling intensity (15 to 90 degrees two-theta):
2theta  I_rel
20.55  1000
19.47  443
31.76  376
32.01  355
34.67  242
51.26  157
39.63  148
50.92  145
40.04  142
33.74  140

```
MgTe3WO12
1.0
4.9468 0.0000 0.0000
0.0000 8.8857 0.0000
-0.0672 0.0000 5.3128
Mg Te W O
1 3 1 12
direct
0.0000 0.0000 0.0000
0.0000 0.6218 0.0000
0.0000 0.8023 0.5000
0.5000 0.3160 0.0000
0.5000 0.1206 0.5000
0.1983 0.7981 0.1766
0.2072 0.6445 0.6850
0.2360 0.9549 0.6461
0.2451 0.4778 0.1363
0.2852 0.1173 0.1916
0.2854 0.2643 0.6613
0.7148 0.1173 0.8084
0.7146 0.2643 0.3387
0.7549 0.4778 0.8637
0.7640 0.9549 0.3539
0.7928 0.6445 0.3150
0.8017 0.7981 0.8234
```